Calculated powder XRD pattern
Compound: Pm3Pr2Er6
Radiation: Cu Kα, 1.54184 Å
Structure: the PBE geometry in Alexandria
No peak broadening, texture or thermal motion is included.

Most intense lines, 2θ from 10° to 90°, in order of rising 2θ:
d (Å)  2θ (°)  I_rel
3.123  28.59  1000
2.918  30.64  245
2.768  32.35  210
2.616  34.27  797
2.383  37.75  607
1.806  50.54  246
1.685  54.45  212
1.490  62.34  204
1.483  62.65  219
1.417  65.94  241

Atomic structure:
abc: 16.9444 16.9444 16.9444
angles: 163.83 163.83 22.94
Element x y z (fractional)
Pm 0.0000 0.0000 0.0000
Pm 0.2041 0.2041 0.0000
Pm 0.7959 0.7959 0.0000
Pr 0.4534 0.4534 0.0000
Pr 0.5466 0.5466 0.0000
Er 0.1216 0.6216 0.5000
Er 0.3074 0.3074 0.0000
Er 0.3784 0.8784 0.5000
Er 0.6216 0.1216 0.5000
Er 0.6926 0.6926 0.0000
Er 0.8784 0.3784 0.5000